Entry 1:
The following is a computed powder XRD pattern of AcCr2H8. It was derived from a cell relaxed with GGA-PBE, using a wavelength of 1.5418 Å.
Peak positions follow from Bragg's law for the DFT cell and can differ from measured ones.

Crystal structure
```
data_AcCr2H8
_chemical_formula_sum 'Ac2 Cr4 H16'
_cell_length_a 4.809
_cell_length_b 8.085
_cell_length_c 4.555
_cell_angle_alpha 90.00
_cell_angle_beta 90.00
_cell_angle_gamma 90.00
_space_group_name_H-M_alt 'A m m 2'
_space_group_IT_number 38
_space_group_name_Hall 'A 2 -2'
loop_
_atom_site_label
_atom_site_fract_x
_atom_site_fract_y
_atom_site_fract_z
Ac1 0.000 0.000 0.000
Cr1 0.500 0.173 0.478
H1 0.249 0.232 0.750
H2 0.273 0.000 0.500
H3 0.500 0.122 0.095
```

Principal peaks in the range 5° ≤ 2θ ≤ 70°, most intense first:
2θ/deg  d/Å  I/Imax  hkl
29.18  3.061  100.0  1 1 1
28.85  3.094  56.2  1 2 0
22.40  3.968  36.5  0 1 1
38.83  2.319  33.6  0 3 1
49.71  1.834  24.8  1 2 2
55.01  1.669  24.7  2 3 1
37.40  2.405  18.7  2 0 0
44.03  2.057  17.7  2 1 1
21.99  4.042  16.0  0 2 0
39.57  2.277  16.0  0 0 2

Entry 2:
The following is a computed powder XRD pattern of Ac2CrHN3. It was derived from a cell relaxed with GGA-PBE, using a wavelength of 1.5418 Å.
Peak positions follow from Bragg's law for the DFT cell and can differ from measured ones.

Crystal structure
```
data_Ac2CrHN3
_chemical_formula_sum 'Ac4 Cr2 H2 N6'
_cell_length_a 3.831
_cell_length_b 3.889
_cell_length_c 13.417
_cell_angle_alpha 90.00
_cell_angle_beta 90.00
_cell_angle_gamma 90.00
_space_group_name_H-M_alt 'I m m m'
_space_group_IT_number 71
_space_group_name_Hall '-I 2 2'
loop_
_atom_site_label
_atom_site_fract_x
_atom_site_fract_y
_atom_site_fract_z
Ac1 0.000 0.000 0.146
Cr1 0.000 0.000 0.500
H1 0.000 0.500 0.000
N1 0.000 0.000 0.344
N2 0.000 0.500 0.500
```

Principal peaks in the range 5° ≤ 2θ ≤ 70°, most intense first:
2θ/deg  d/Å  I/Imax  hkl
32.81  2.729  100.0  1 1 0
30.73  2.910  92.3  1 0 3
30.46  2.935  84.0  0 1 3
42.71  2.117  49.0  1 1 4
23.82  3.735  37.2  0 1 1
26.58  3.354  35.6  0 0 4
56.96  1.617  33.4  1 2 3
57.45  1.604  29.8  2 1 3
52.94  1.730  29.2  1 1 6
24.16  3.684  27.3  1 0 1